(1)
# Sm6Y3Mg
Simulated XRD peak list, Cu Kα. Input: a structure optimized by DFT (PBE).
Peak positions follow from Bragg's law for the DFT cell and can differ from measured ones.

Structure:
```
data_Sm6Y3Mg
_chemical_formula_sum 'Sm12 Y6 Mg2'
_symmetry_space_group_name_H-M 'P n n m'
_symmetry_Int_Tables_number 58
_symmetry_space_group_name_Hall '-P 2 2n'
_cell_length_a 10.555
_cell_length_b 11.874
_cell_length_c 5.287
_cell_angle_alpha 90.00
_cell_angle_beta 90.00
_cell_angle_gamma 90.00
loop_
_atom_site_label
_atom_site_fract_x
_atom_site_fract_y
_atom_site_fract_z
_atom_site_occupancy
Sm1 0.073 0.248 0.000 1
Sm2 0.173 0.078 0.500 1
Sm3 0.217 0.384 0.500 1
Y1 0.000 0.500 0.000 1
Y2 0.118 0.711 0.500 1
Mg1 0.000 0.000 0.000 1
```

Top 10 peaks for 2θ from 15° to 90°, sorted by position:
d = 4.823 Å, 18.4°, I = 19, (2 1 0); d = 3.167 Å, 28.2°, I = 27, (0 3 1); d = 3.034 Å, 29.4°, I = 100, (1 3 1); d = 2.929 Å, 30.5°, I = 46, (3 0 1); d = 2.844 Å, 31.5°, I = 56, (3 1 1); d = 2.644 Å, 33.9°, I = 43, (0 0 2); d = 2.587 Å, 34.7°, I = 23, (2 4 0); d = 2.196 Å, 41.1°, I = 22, (4 3 0); d = 1.849 Å, 49.3°, I = 19, (2 4 2); d = 1.688 Å, 54.3°, I = 22, (4 3 2)

***

(2)
# LiEr2Al4Pt3
Simulated XRD peak list, Cu Kα. Input: a structure optimized by DFT (PBE).
Peak positions follow from Bragg's law for the DFT cell and can differ from measured ones.

Structure:
```
data_LiEr2Al4Pt3
_chemical_formula_sum 'Li1 Er2 Al4 Pt3'
_symmetry_space_group_name_H-M 'P -4 m 2'
_symmetry_Int_Tables_number 115
_symmetry_space_group_name_Hall 'P -4 -2'
_cell_length_a 4.099
_cell_length_b 4.099
_cell_length_c 10.922
_cell_angle_alpha 90.00
_cell_angle_beta 90.00
_cell_angle_gamma 90.00
loop_
_atom_site_label
_atom_site_fract_x
_atom_site_fract_y
_atom_site_fract_z
_atom_site_occupancy
Li1 0.000 0.000 0.000 1
Er1 0.000 0.500 0.743 1
Al1 0.000 0.000 0.500 1
Al2 0.000 0.500 0.133 1
Al3 0.500 0.500 0.500 1
Pt1 0.000 0.500 0.361 1
Pt2 0.500 0.500 0.000 1
```

Top 10 peaks for 2θ from 15° to 90°, sorted by position:
d = 3.641 Å, 24.5°, I = 32, (0 0 3); d = 3.278 Å, 27.2°, I = 54, (1 0 2); d = 2.899 Å, 30.8°, I = 44, (1 1 0); d = 2.802 Å, 31.9°, I = 40, (1 1 1); d = 2.722 Å, 32.9°, I = 93, (1 0 3); d = 2.560 Å, 35.0°, I = 100, (1 1 2); d = 2.050 Å, 44.2°, I = 64, (2 0 0); d = 1.928 Å, 47.1°, I = 58, (1 0 5); d = 1.637 Å, 56.2°, I = 43, (2 1 3); d = 1.404 Å, 66.6°, I = 42, (2 1 5)